[1]
For AcPr2NdEr5, a crystal structure in Alexandria, relaxed with PBE gives the computed powder X-ray diffraction pattern in this record (Cu Kα (weighted mean of Kα1 and Kα2)).
Peak positions follow from Bragg's law for the DFT cell and can differ from measured ones.

Structural model:
```
18
Lattice="-4.404 4.404 7.893 4.404 -4.404 7.893 4.404 4.404 -7.893" Properties=species:S:1:pos:R:3 pbc="T T T"
Ac 0.000 0.000 3.947
Ac 0.000 0.000 11.840
Pr 5.442 1.038 0.000
Pr 1.038 3.366 0.000
Pr 3.366 1.038 7.893
Pr -1.038 3.366 7.893
Nd 4.404 0.000 3.947
Nd 0.000 4.404 3.947
Er 0.000 0.000 0.000
Er 2.577 1.827 -2.111
Er 2.577 -1.827 5.783
Er 2.577 1.827 2.111
Er 2.577 -1.827 10.004
Er 0.000 0.000 7.893
Er 1.827 6.231 -2.111
Er 1.827 2.577 5.783
Er 1.827 6.231 2.111
Er 1.827 2.577 10.004
```

Top 10 peaks for 10 to 90 degrees two-theta, low angle first:
| 2θ/deg | I/Imax |
| --- | --- |
| 28.3 | 40 |
| 28.7 | 49 |
| 30.4 | 100 |
| 32.1 | 17 |
| 36.5 | 12 |
| 37.2 | 14 |
| 42.7 | 19 |
| 46.0 | 14 |
| 51.9 | 22 |
| 55.1 | 15 |


[2]
For AcPrNd2Er4, a crystal structure in Alexandria, relaxed with PBE gives the computed powder X-ray diffraction pattern in this record (Cu Kα (weighted mean of Kα1 and Kα2)).
Peak positions follow from Bragg's law for the DFT cell and can differ from measured ones.

Structural model:
```
16
Lattice="6.935 -6.733 0.000 6.935 6.733 0.000 -3.444 0.000 5.993" Properties=species:S:1:pos:R:3 pbc="T T T"
Ac 3.468 3.367 0.000
Ac 1.745 -3.367 2.997
Pr 0.000 0.000 0.000
Pr -1.722 0.000 2.997
Nd 1.745 3.367 2.997
Nd 3.468 -3.367 0.000
Nd 6.935 0.000 0.000
Nd 5.213 0.000 2.997
Er 1.753 0.108 3.007
Er 5.172 3.356 3.070
Er 3.532 3.356 5.920
Er 3.475 -0.108 0.011
Er 6.951 0.108 5.982
Er 6.894 -3.356 0.073
Er 5.254 -3.356 2.924
Er 8.673 -0.108 2.986
```

Top 10 peaks for 10 to 90 degrees two-theta, low angle first:
| 2θ/deg | I/Imax |
| --- | --- |
| 26.5 | 67 |
| 29.7 | 51 |
| 29.8 | 100 |
| 40.2 | 45 |
| 40.3 | 88 |
| 52.8 | 20 |
| 60.0 | 28 |
| 60.2 | 13 |
| 63.4 | 34 |
| 68.6 | 18 |


[3]
For AcPrNd2Er, a crystal structure in Alexandria, relaxed with PBE gives the computed powder X-ray diffraction pattern in this record (Cu Kα (weighted mean of Kα1 and Kα2)).
Peak positions follow from Bragg's law for the DFT cell and can differ from measured ones.

Structural model:
```
10
Lattice="4.165 -6.149 0.000 4.165 6.149 0.000 0.000 0.000 7.453" Properties=species:S:1:pos:R:3 pbc="T T T"
Ac 4.165 3.163 5.590
Ac 4.165 -3.163 1.863
Pr 4.165 5.389 1.863
Pr 4.165 -5.389 5.590
Nd 2.526 0.000 0.000
Nd 2.526 0.000 3.727
Nd 5.805 0.000 0.000
Nd 5.805 0.000 3.727
Er 4.165 2.344 1.863
Er 4.165 -2.344 5.590
```

Top 10 peaks for 10 to 90 degrees two-theta, low angle first:
| 2θ/deg | I/Imax |
| --- | --- |
| 21.3 | 22 |
| 25.8 | 67 |
| 27.0 | 42 |
| 28.0 | 71 |
| 29.0 | 31 |
| 31.5 | 22 |
| 32.2 | 100 |
| 34.3 | 22 |
| 38.3 | 26 |
| 43.9 | 43 |


[4]
For AcPr2Nd6Er, a crystal structure in Alexandria, relaxed with PBE gives the computed powder X-ray diffraction pattern in this record (Cu Kα (weighted mean of Kα1 and Kα2)).
Peak positions follow from Bragg's law for the DFT cell and can differ from measured ones.

Structural model:
```
20
Lattice="4.706 -7.866 0.000 4.706 7.866 0.000 -1.032 0.000 9.811" Properties=species:S:1:pos:R:3 pbc="T T T"
Ac 3.932 7.517 7.358
Ac 4.448 -7.517 2.453
Pr 1.856 0.903 5.348
Pr 2.372 -0.903 0.442
Pr 6.007 0.903 9.369
Pr 6.523 -0.903 4.463
Nd 2.006 4.329 6.769
Nd 4.084 4.864 0.537
Nd 4.811 4.864 4.369
Nd 2.812 1.667 8.670
Nd 5.857 4.329 7.947
Nd 5.052 1.667 6.046
Nd 3.327 -1.667 3.765
Nd 2.522 -4.329 1.864
Nd 5.568 -1.667 1.140
Nd 3.568 -4.864 5.442
Nd 4.295 -4.864 9.274
Nd 6.373 -4.329 3.042
Er 4.448 1.397 2.453
Er 3.932 -1.397 7.358
```

Top 10 peaks for 10 to 90 degrees two-theta, low angle first:
| 2θ/deg | I/Imax |
| --- | --- |
| 27.3 | 53 |
| 29.6 | 82 |
| 30.0 | 100 |
| 30.5 | 31 |
| 31.0 | 14 |
| 32.8 | 42 |
| 33.7 | 10 |
| 52.5 | 11 |
| 57.2 | 12 |
| 57.8 | 14 |


[5]
For AcNd5Sm2Er, a crystal structure in Alexandria, relaxed with PBE gives the computed powder X-ray diffraction pattern in this record (Cu Kα (weighted mean of Kα1 and Kα2)).
Peak positions follow from Bragg's law for the DFT cell and can differ from measured ones.

Structural model:
```
18
Lattice="-4.537 4.537 7.861 4.537 -4.537 7.861 4.537 4.537 -7.861" Properties=species:S:1:pos:R:3 pbc="T T T"
Ac 0.000 0.000 3.931
Ac 0.000 0.000 11.792
Nd 0.000 0.000 0.000
Nd 6.386 1.849 -2.083
Nd 1.849 2.688 -2.083
Nd 6.386 1.849 2.083
Nd 1.849 2.688 2.083
Nd 0.000 0.000 7.861
Nd 2.688 1.849 5.779
Nd -1.849 2.688 5.779
Nd 2.688 1.849 9.944
Nd -1.849 2.688 9.944
Sm 3.491 1.046 0.000
Sm 3.491 -1.046 7.861
Sm 1.046 5.583 0.000
Sm 1.046 3.491 7.861
Er 4.537 0.000 3.931
Er 0.000 4.537 3.931
```

Top 10 peaks for 10 to 90 degrees two-theta, low angle first:
| 2θ/deg | I/Imax |
| --- | --- |
| 27.8 | 87 |
| 30.1 | 100 |
| 31.2 | 16 |
| 36.1 | 30 |
| 41.4 | 22 |
| 46.2 | 17 |
| 50.6 | 23 |
| 54.8 | 20 |
| 56.8 | 15 |
| 62.5 | 16 |


[6]
For AcTbNdEr, a crystal structure in Alexandria, relaxed with PBE gives the computed powder X-ray diffraction pattern in this record (Cu Kα (weighted mean of Kα1 and Kα2)).
Peak positions follow from Bragg's law for the DFT cell and can differ from measured ones.

Structural model:
```
4
Lattice="3.714 0.000 0.000 -1.857 3.216 0.000 0.000 0.000 11.887" Properties=species:S:1:pos:R:3 pbc="T T T"
Ac 0.000 0.000 0.000
Tb 0.000 2.144 5.828
Nd 1.857 1.072 8.709
Er 1.857 1.072 3.053
```

Top 10 peaks for 10 to 90 degrees two-theta, low angle first:
| 2θ/deg | I/Imax |
| --- | --- |
| 28.8 | 57 |
| 30.1 | 34 |
| 31.6 | 100 |
| 36.0 | 31 |
| 47.6 | 17 |
| 49.1 | 28 |
| 54.4 | 20 |
| 58.6 | 32 |
| 59.6 | 17 |
| 80.7 | 14 |


[7]
For Ac2TbNdEr, a crystal structure in Alexandria, relaxed with PBE gives the computed powder X-ray diffraction pattern in this record (Cu Kα (weighted mean of Kα1 and Kα2)).
Peak positions follow from Bragg's law for the DFT cell and can differ from measured ones.

Structural model:
```
10
Lattice="6.452 0.000 0.000 0.000 8.991 0.000 0.000 0.000 6.702" Properties=species:S:1:pos:R:3 pbc="T T T"
Ac 1.613 1.828 1.425
Ac 1.613 7.163 1.425
Ac 4.839 1.828 5.277
Ac 4.839 7.163 5.277
Tb 1.613 0.000 4.590
Tb 4.839 0.000 2.113
Nd 1.613 4.496 6.162
Nd 4.839 4.496 0.540
Er 0.000 4.496 3.351
Er 3.226 4.496 3.351
```

Top 10 peaks for 10 to 90 degrees two-theta, low angle first:
| 2θ/deg | I/Imax |
| --- | --- |
| 19.1 | 13 |
| 27.6 | 100 |
| 28.4 | 24 |
| 31.7 | 15 |
| 32.4 | 17 |
| 33.3 | 16 |
| 35.6 | 21 |
| 38.7 | 17 |
| 43.4 | 14 |
| 48.9 | 17 |


[8]
For AcNd5ErTm2, a crystal structure in Alexandria, relaxed with PBE gives the computed powder X-ray diffraction pattern in this record (Cu Kα (weighted mean of Kα1 and Kα2)).
Peak positions follow from Bragg's law for the DFT cell and can differ from measured ones.

Structural model:
```
18
Lattice="2.772 -12.205 0.000 2.772 12.205 0.000 0.000 0.000 9.504" Properties=species:S:1:pos:R:3 pbc="T T T"
Ac 2.772 9.706 4.752
Ac 2.772 -9.706 0.000
Nd 2.772 11.599 7.893
Nd 2.772 9.588 1.015
Nd 2.772 7.582 7.573
Nd 2.772 6.321 4.115
Nd 2.772 0.257 5.849
Nd 2.772 -0.257 1.097
Nd 2.772 -6.321 8.867
Nd 2.772 -7.582 2.821
Nd 2.772 -9.588 5.768
Nd 2.772 -11.599 3.141
Er 2.772 5.761 1.023
Er 2.772 -5.761 5.775
Tm 2.772 4.279 7.105
Tm 2.772 2.743 3.441
Tm 2.772 -2.743 8.193
Tm 2.772 -4.279 2.353
```

Top 10 peaks for 10 to 90 degrees two-theta, low angle first:
| 2θ/deg | I/Imax |
| --- | --- |
| 27.0 | 27 |
| 28.9 | 27 |
| 29.1 | 25 |
| 30.8 | 93 |
| 31.7 | 100 |
| 32.3 | 67 |
| 32.8 | 64 |
| 43.9 | 18 |
| 44.0 | 16 |
| 57.3 | 18 |


[9]
For AcNd5YEr2, a crystal structure in Alexandria, relaxed with PBE gives the computed powder X-ray diffraction pattern in this record (Cu Kα (weighted mean of Kα1 and Kα2)).
Peak positions follow from Bragg's law for the DFT cell and can differ from measured ones.

Structural model:
```
18
Lattice="2.789 -12.162 0.000 2.789 12.162 0.000 0.000 0.000 9.567" Properties=species:S:1:pos:R:3 pbc="T T T"
Ac 2.789 9.665 4.783
Ac 2.789 -9.665 0.000
Nd 2.789 11.556 7.941
Nd 2.789 9.577 1.033
Nd 2.789 7.579 7.643
Nd 2.789 6.299 4.120
Nd 2.789 0.224 5.875
Nd 2.789 -0.224 1.091
Nd 2.789 -6.299 8.904
Nd 2.789 -7.579 2.860
Nd 2.789 -9.577 5.817
Nd 2.789 -11.556 3.158
Y 2.789 5.690 1.023
Y 2.789 -5.690 5.806
Er 2.789 4.246 7.137
Er 2.789 2.727 3.497
Er 2.789 -2.727 8.280
Er 2.789 -4.246 2.354
```

Top 10 peaks for 10 to 90 degrees two-theta, low angle first:
| 2θ/deg | I/Imax |
| --- | --- |
| 26.9 | 30 |
| 28.9 | 55 |
| 30.7 | 87 |
| 31.7 | 100 |
| 32.1 | 65 |
| 32.6 | 56 |
| 43.7 | 36 |
| 56.4 | 17 |
| 57.0 | 21 |
| 57.5 | 18 |


[10]
For Ac2ErNpO8, a crystal structure in Alexandria, relaxed with PBE gives the computed powder X-ray diffraction pattern in this record (Cu Kα (weighted mean of Kα1 and Kα2)).
Peak positions follow from Bragg's law for the DFT cell and can differ from measured ones.

Structural model:
```
12
Lattice="4.107 0.000 0.000 0.000 7.698 0.000 -0.565 0.000 5.735" Properties=species:S:1:pos:R:3 pbc="T T T"
Ac 0.000 1.896 0.000
Ac 0.000 5.802 0.000
Er 1.771 0.000 2.867
Np 1.771 3.849 2.867
O 0.009 0.000 1.497
O 0.151 3.849 1.695
O 1.457 2.168 4.119
O 1.457 5.530 4.119
O 2.085 2.168 1.616
O 2.085 5.530 1.616
O 3.391 3.849 4.040
O 3.533 0.000 4.238
```

Top 10 peaks for 10 to 90 degrees two-theta, low angle first:
| 2θ/deg | I/Imax |
| --- | --- |
| 25.5 | 64 |
| 27.9 | 100 |
| 28.0 | 50 |
| 31.2 | 27 |
| 31.9 | 51 |
| 43.6 | 40 |
| 44.3 | 18 |
| 46.8 | 30 |
| 51.8 | 18 |
| 53.5 | 17 |


[11]
For AcErO4, a crystal structure in Alexandria, relaxed with PBE gives the computed powder X-ray diffraction pattern in this record (Cu Kα (weighted mean of Kα1 and Kα2)).
Peak positions follow from Bragg's law for the DFT cell and can differ from measured ones.

Structural model:
```
6
Lattice="3.417 -2.023 0.000 3.417 2.023 0.000 -0.866 0.000 6.499" Properties=species:S:1:pos:R:3 pbc="T T T"
Ac 0.000 0.000 0.000
Er 3.696 0.000 3.492
O 1.153 0.000 2.333
O 2.385 0.000 1.445
O 3.655 0.000 5.722
O 5.954 0.000 3.922
```

Top 10 peaks for 10 to 90 degrees two-theta, low angle first:
| 2θ/deg | I/Imax |
| --- | --- |
| 26.3 | 34 |
| 27.4 | 46 |
| 28.3 | 100 |
| 30.0 | 44 |
| 31.4 | 22 |
| 35.7 | 18 |
| 44.8 | 19 |
| 46.0 | 23 |
| 48.0 | 28 |
| 53.4 | 15 |


[12]
For AcErPaO6, a crystal structure in Alexandria, relaxed with PBE gives the computed powder X-ray diffraction pattern in this record (Cu Kα (weighted mean of Kα1 and Kα2)).
Peak positions follow from Bragg's law for the DFT cell and can differ from measured ones.

Structural model:
```
18
Lattice="5.267 0.000 0.000 0.000 5.267 0.000 0.000 0.000 10.963" Properties=species:S:1:pos:R:3 pbc="T T T"
Ac 0.000 0.000 0.000
Ac 2.634 2.634 5.482
Er 0.000 0.000 3.625
Er 2.634 2.634 9.106
Pa 0.000 0.000 7.300
Pa 2.634 2.634 1.818
O 0.916 0.916 5.513
O 1.034 1.034 8.893
O 1.087 1.087 1.955
O 1.547 3.720 7.436
O 1.599 3.668 3.411
O 1.718 3.549 0.031
O 3.549 1.718 0.031
O 3.668 1.599 3.411
O 3.720 1.547 7.436
O 4.181 4.181 1.955
O 4.233 4.233 8.893
O 4.352 4.352 5.513
```

Top 10 peaks for 10 to 90 degrees two-theta, low angle first:
| 2θ/deg | I/Imax |
| --- | --- |
| 23.9 | 100 |
| 29.8 | 98 |
| 34.0 | 30 |
| 45.8 | 74 |
| 48.9 | 17 |
| 55.1 | 19 |
| 56.1 | 20 |
| 58.3 | 21 |
| 69.3 | 18 |
| 77.6 | 14 |